Simulated X-ray diffraction stick pattern
Compound: Y2U2Tc3
Radiation: Cu Kα X-rays
Structure: a PBE-relaxed structure

Top 10 peaks for 10° ≤ 2θ ≤ 80°, by angle:
(hkl)  Position (°2θ)  I_rel
1 0 0  14.81  393
1 1 0  19.28  472
0 0 2  24.77  335
1 1 -2  30.55  738
2 1 0  32.41  1000
2 1 1  35.72  323
1 2 2  39.30  671
2 1 -2  39.56  331
0 1 3  39.65  469
1 3 -1  42.05  694

Atomic structure:
```
data_Y2U2Tc3
_space_group_name_H-M_alt 'P 1 21/c 1'
_space_group_IT_number 14
_cell_length_a 6.0023
_cell_length_b 7.2083
_cell_length_c 7.2121
_cell_angle_alpha 90.00
_cell_angle_beta 94.83
_cell_angle_gamma 90.00
loop_
_space_group_symop_operation_xyz
'x,y,z'
'-x,-y,-z'
'-x,y+1/2,-z+1/2'
'x,-y+1/2,z+1/2'
loop_
_atom_site_label
_atom_site_type_symbol
_atom_site_fract_x
_atom_site_fract_y
_atom_site_fract_z
Y1 Y 0.1470 0.1550 0.1737
U1 U 0.3660 0.6969 0.0146
Tc1 Tc 0.0000 0.0000 0.5000
Tc2 Tc 0.3561 0.5255 0.3291
```

Simulated X-ray diffraction stick pattern
Compound: V7Tc3
Radiation: Cu Kα X-rays
Structure: a PBE-relaxed structure

Top 10 peaks for 10° ≤ 2θ ≤ 80°, by angle:
(hkl)  Position (°2θ)  I_rel
1 0 1  21.49  337
2 0 1  30.88  218
0 0 2  35.09  247
2 1 1  38.19  356
3 0 0  38.45  225
3 0 1  42.46  1000
2 0 2  43.79  712
2 2 0  44.69  245
2 1 2  49.49  195
3 0 3  68.02  230

Atomic structure:
```
data_V7Tc3
_space_group_name_H-M_alt 'P 63/m m c'
_space_group_IT_number 194
_space_group_name_Hall '-P 6c 2c'
_cell_length_a 8.1110
_cell_length_b 8.1110
_cell_length_c 5.1147
_cell_angle_alpha 90.00
_cell_angle_beta 90.00
_cell_angle_gamma 120.00
loop_
_atom_site_label
_atom_site_type_symbol
_atom_site_fract_x
_atom_site_fract_y
_atom_site_fract_z
V1 V 0.0000 0.5000 0.0000
V2 V 0.1210 0.2419 0.2500
V3 V 0.3333 0.6667 0.2500
Tc1 Tc 0.2143 0.4287 0.7500
```